No. 1
Structure and simulated X-ray diffraction stick pattern of K4Sr5 (a GGA-PBE-relaxed structure; CuKα).

Main lines, low angle first (10 to 90 degrees two-theta):
2θ (°)  I_rel
25.1  52.7
25.7  100.0
35.8  20.2
44.6  42.3
45.6  19.9
52.8  12.6

Crystal structure
a b c (Å): 15.042 15.042 4.806
angles (deg): 90.00 90.00 90.00
Space group I4/mmm (No. 139)
Asymmetric unit:
K 0.000 0.332 0.000 [8 per cell]
Sr 0.000 0.000 0.000 [2 per cell]
Sr 0.163 0.163 0.500 [8 per cell]

No. 2
Structure and simulated X-ray diffraction stick pattern of LaCu2H8Rh (a GGA-PBE-relaxed structure; CuKα).

Main lines, low angle first (10 to 90 degrees two-theta):
2θ (°)  I_rel
19.1  90.2
25.8  96.7
26.1  100.0
27.2  90.7
38.7  90.4
38.8  88.5

Crystal structure
a b c (Å): 4.638 4.654 5.095
angles (deg): 91.83 90.63 90.07
Space group P-1 (No. 2)
Asymmetric unit:
La 0.000 0.000 0.000 [1 per cell]
Cu 0.496 0.496 0.761 [2 per cell]
H 0.229 0.500 0.998 [2 per cell]
H 0.242 0.238 0.591 [2 per cell]
H 0.248 0.754 0.404 [2 per cell]
H 0.498 0.872 0.807 [2 per cell]
Rh 0.500 0.000 0.500 [1 per cell]

No. 3
Structure and simulated X-ray diffraction stick pattern of CsCdHgF6 (a GGA-PBE-relaxed structure; CuKα).

Main lines, low angle first (10 to 90 degrees two-theta):
2θ (°)  I_rel
13.6  33.3
25.4  100.0
26.0  79.6
26.5  41.1
27.3  51.1
44.8  59.7

Crystal structure
a b c (Å): 7.970 8.327 11.395
angles (deg): 90.00 90.00 90.00
Space group Imma (No. 74)
Asymmetric unit:
Cs 0.000 0.250 0.110 [4 per cell]
Cd 0.250 0.250 0.750 [4 per cell]
Hg 0.000 0.000 0.500 [4 per cell]
F 0.000 0.250 0.422 [4 per cell]
F 0.000 0.250 0.830 [4 per cell]
F 0.205 0.047 0.624 [16 per cell]